Record 1
Diffraction record for La5In2Ru. The powder X-ray diffraction pattern is computed, not measured: it uses a structure optimized by DFT (PBE) and Cu Kα (weighted mean of Kα1 and Kα2).
Peak positions follow from Bragg's law for the DFT cell and can differ from measured ones.

Principal peaks in the range 10 to 90 degrees two-theta, by angle:
| 2theta | d/Å | I (rel.) | (hkl) |
| --- | --- | --- | --- |
| 25.40 | 3.507 | 26 | 1 2 1 |
| 29.13 | 3.065 | 100 | 2 1 1 |
| 30.02 | 2.977 | 63 | 1 3 1 |
| 30.38 | 2.942 | 70 | 1 4 0 |
| 31.68 | 2.824 | 63 | 2 2 1 |
| 33.34 | 2.688 | 17 | 3 1 0 |
| 33.81 | 2.651 | 28 | 0 4 1 |
| 35.60 | 2.522 | 20 | 3 2 0 |
| 36.56 | 2.457 | 55 | 0 0 2 |
| 48.25 | 1.886 | 39 | 1 4 2 |

Atomic structure:
Unit cell a=8.2530 b=12.5924 c=4.9150 alpha=90.00 beta=90.00 gamma=90.00
Element x y z (fractional)
La 0.0000 0.0000 0.0000
La 0.1334 0.3016 0.0000
La 0.1846 0.5687 0.5000
La 0.3154 0.0687 0.5000
La 0.3666 0.8016 0.0000
La 0.5000 0.5000 0.0000
La 0.6334 0.1984 0.0000
La 0.6846 0.9313 0.5000
La 0.8154 0.4313 0.5000
La 0.8666 0.6984 0.0000
In 0.0775 0.8320 0.5000
In 0.4225 0.3320 0.5000
In 0.5775 0.6680 0.5000
In 0.9225 0.1680 0.5000
Ru 0.0000 0.5000 0.0000
Ru 0.5000 0.0000 0.0000

Record 2
Diffraction record for LaSc2InRu. The powder X-ray diffraction pattern is computed, not measured: it uses a structure optimized by DFT (PBE) and Cu Kα (weighted mean of Kα1 and Kα2).
Peak positions follow from Bragg's law for the DFT cell and can differ from measured ones.

Principal peaks in the range 10 to 90 degrees two-theta, by angle:
| 2theta | d/Å | I (rel.) | (hkl) |
| --- | --- | --- | --- |
| 24.58 | 3.622 | 42 | 1 0 1 |
| 25.40 | 3.507 | 90 | 1 1 0 |
| 30.56 | 2.925 | 92 | 1 1 1 |
| 33.80 | 2.652 | 61 | 0 0 2 |
| 36.23 | 2.480 | 100 | 2 0 0 |
| 42.75 | 2.115 | 46 | 1 1 2 |
| 50.38 | 1.811 | 76 | 2 0 2 |
| 52.17 | 1.753 | 34 | 2 2 0 |
| 61.68 | 1.504 | 23 | 3 1 1 |
| 63.62 | 1.463 | 37 | 2 2 2 |

Atomic structure:
Unit cell a=4.9592 b=4.9592 c=5.3036 alpha=90.00 beta=90.00 gamma=90.00
Element x y z (fractional)
La 0.0000 0.0000 0.0000
Sc 0.0000 0.5000 0.5000
Sc 0.5000 0.0000 0.5000
In 0.5000 0.5000 0.0000
Ru 0.5000 0.5000 0.5000